Starting from a DFT-relaxed cell (PBE, Alexandria), the powder X-ray diffraction pattern of Na4CaP6O18 was calculated for λ = 1.5418 Å (Cu Kα).

Crystal structure
```
data_Na4CaP6O18
_symmetry_space_group_name_H-M 'P 1'
_symmetry_Int_Tables_number 1
_cell_length_a 7.764
_cell_length_b 7.764
_cell_length_c 14.767
_cell_angle_alpha 92.67
_cell_angle_beta 92.67
_cell_angle_gamma 61.96
loop_
_symmetry_equiv_pos_as_xyz
'x,y,z'
loop_
_atom_site_label
_atom_site_type_symbol
_atom_site_fract_x
_atom_site_fract_y
_atom_site_fract_z
Na1 Na 0.031 0.291 0.444
Na2 Na 0.213 0.456 0.083
Na3 Na 0.291 0.031 0.944
Na4 Na 0.456 0.213 0.583
Na5 Na 0.544 0.787 0.417
Na6 Na 0.709 0.969 0.056
Na7 Na 0.787 0.544 0.917
Na8 Na 0.969 0.709 0.556
Ca1 Ca 0.124 0.876 0.250
Ca2 Ca 0.876 0.124 0.750
P1 P 0.098 0.724 0.892
P2 P 0.136 0.414 0.757
P3 P 0.276 0.902 0.608
P4 P 0.353 0.460 0.388
P5 P 0.414 0.136 0.257
P6 P 0.460 0.353 0.888
P7 P 0.540 0.647 0.112
P8 P 0.586 0.864 0.743
P9 P 0.647 0.540 0.612
P10 P 0.724 0.098 0.392
P11 P 0.864 0.586 0.243
P12 P 0.902 0.276 0.108
O1 O 0.006 0.305 0.032
O2 O 0.033 0.318 0.801
O3 O 0.051 0.637 0.797
O4 O 0.067 0.925 0.872
O5 O 0.075 0.933 0.628
O6 O 0.140 0.418 0.656
O7 O 0.249 0.431 0.464
O8 O 0.305 0.006 0.532
O9 O 0.315 0.662 0.366
O10 O 0.318 0.033 0.301
O11 O 0.318 0.361 0.295
O12 O 0.333 0.588 0.904
O13 O 0.338 0.685 0.134
O14 O 0.361 0.318 0.795
O15 O 0.363 0.949 0.703
O16 O 0.412 0.667 0.596
O17 O 0.418 0.140 0.156
O18 O 0.431 0.249 0.964
O19 O 0.569 0.751 0.036
O20 O 0.582 0.860 0.844
O21 O 0.588 0.333 0.404
O22 O 0.637 0.051 0.297
O23 O 0.639 0.682 0.205
O24 O 0.662 0.315 0.866
O25 O 0.667 0.412 0.096
O26 O 0.682 0.639 0.705
O27 O 0.682 0.967 0.699
O28 O 0.685 0.338 0.634
O29 O 0.695 0.994 0.468
O30 O 0.751 0.569 0.536
O31 O 0.860 0.582 0.344
O32 O 0.925 0.067 0.372
O33 O 0.933 0.075 0.128
O34 O 0.949 0.363 0.203
O35 O 0.967 0.682 0.199
O36 O 0.994 0.695 0.968
```

Principal peaks in the range 10 to 80 degrees two-theta, sorted by position:
2θ (°), Rel. int.
17.46, 54
21.96, 23
23.46, 25
25.45, 24
26.89, 21
28.79, 100
30.09, 53
35.40, 27
39.77, 20
48.08, 24